This entry pairs a crystal structure of Zr2UCd with its theoretical XRD peak list. Radiation: λ = 1.5418 Å (Cu Kα). Structure: the GGA-PBE geometry in Alexandria.
No peak broadening, texture or thermal motion is included.

Main lines, by angle (2θ = 15–90°):
2θ/deg	Rel. int.
35.0	100
38.0	40
45.5	12
54.8	14
60.7	20
66.7	30

Cell and atoms:
abc: 4.735 4.735 3.991
angles: 90.00 90.00 90.00
Fractional positions:
Zr 0.000 0.500 0.000
Zr 0.500 0.000 0.000
U 0.000 0.000 0.500
Cd 0.500 0.500 0.500

This entry pairs a crystal structure of Ac2InHPt6 with its theoretical XRD peak list. Radiation: λ = 1.5418 Å (Cu Kα). Structure: the GGA-PBE geometry in Alexandria.
No peak broadening, texture or thermal motion is included.

Main lines, by angle (2θ = 15–90°):
2θ/deg	Rel. int.
27.5	25
33.3	29
36.3	100
36.8	33
39.8	80
62.9	31

Cell and atoms:
abc: 7.322 7.322 7.322
angles: 47.62 47.62 47.62
Fractional positions:
Ac 0.227 0.227 0.227
Ac 0.773 0.773 0.773
In 0.500 0.500 0.500
H 0.000 0.000 0.000
Pt 0.226 0.226 0.724
Pt 0.226 0.724 0.226
Pt 0.276 0.774 0.774
Pt 0.724 0.226 0.226
Pt 0.774 0.276 0.774
Pt 0.774 0.774 0.276

This entry pairs a crystal structure of SrCuH6Rh with its theoretical XRD peak list. Radiation: λ = 1.5418 Å (Cu Kα). Structure: the GGA-PBE geometry in Alexandria.
No peak broadening, texture or thermal motion is included.

Main lines, by angle (2θ = 15–90°):
2θ/deg	Rel. int.
28.5	100
37.6	50
37.8	16
47.8	23
54.3	35
62.4	21

Cell and atoms:
abc: 4.790 4.790 4.764
angles: 90.00 90.00 120.00
Fractional positions:
Sr 0.000 0.000 0.000
Cu 0.333 0.667 0.500
H 0.413 0.017 0.701
H 0.413 0.396 0.299
H 0.604 0.017 0.299
H 0.604 0.587 0.701
H 0.983 0.396 0.701
H 0.983 0.587 0.299
Rh 0.667 0.333 0.500

This entry pairs a crystal structure of Ba2Si3Au with its theoretical XRD peak list. Radiation: λ = 1.5418 Å (Cu Kα). Structure: the GGA-PBE geometry in Alexandria.
No peak broadening, texture or thermal motion is included.

Main lines, by angle (2θ = 15–90°):
2θ/deg	Rel. int.
30.0	100
35.7	19
42.3	36
52.7	20
56.5	30
69.7	18

Cell and atoms:
abc: 12.494 10.930 8.554
angles: 78.73 59.09 42.18
Fractional positions:
Ba 0.001 0.001 0.249
Ba 0.249 0.249 0.001
Ba 0.252 0.252 0.498
Ba 0.498 0.498 0.252
Ba 0.502 0.502 0.748
Ba 0.748 0.748 0.502
Ba 0.751 0.751 0.999
Ba 0.999 0.999 0.751
Si 0.053 0.700 0.535
Si 0.212 0.535 0.700
Si 0.213 0.537 0.213
Si 0.300 0.947 0.788
Si 0.463 0.787 0.463
Si 0.465 0.788 0.947
Si 0.535 0.212 0.053
Si 0.537 0.213 0.537
Si 0.700 0.053 0.212
Si 0.787 0.463 0.787
Si 0.788 0.465 0.300
Si 0.947 0.300 0.465
Au 0.042 0.708 0.042
Au 0.292 0.958 0.292
Au 0.708 0.042 0.708
Au 0.958 0.292 0.958

This entry pairs a crystal structure of AcTm12Th5 with its theoretical XRD peak list. Radiation: λ = 1.5418 Å (Cu Kα). Structure: the GGA-PBE geometry in Alexandria.
No peak broadening, texture or thermal motion is included.

Main lines, by angle (2θ = 15–90°):
2θ/deg	Rel. int.
30.9	100
35.6	34
36.2	16
51.7	24
61.0	29
61.8	14

Cell and atoms:
abc: 10.618 10.618 5.042
angles: 90.00 90.00 91.03
Fractional positions:
Ac 0.000 0.000 0.000
Tm 0.004 0.665 0.000
Tm 0.167 0.167 0.500
Tm 0.170 0.501 0.500
Tm 0.335 0.996 0.000
Tm 0.336 0.336 0.000
Tm 0.499 0.830 0.500
Tm 0.501 0.170 0.500
Tm 0.664 0.664 0.000
Tm 0.665 0.004 0.000
Tm 0.830 0.499 0.500
Tm 0.833 0.833 0.500
Tm 0.996 0.335 0.000
Th 0.172 0.828 0.500
Th 0.335 0.665 0.000
Th 0.500 0.500 0.500
Th 0.665 0.335 0.000
Th 0.828 0.172 0.500